For TaBiMo2O, a GGA+U-relaxed structure gives the calculated powder diffractogram in this record (Cu Kα).
No peak broadening, texture or thermal motion is included.

Most intense lines, 15 to 90 degrees two-theta, by angle:
d [Å]  two_theta  Rel. int.  (hkl)
5.148  17.2  100  1 0 0
3.017  29.6  24  1 1 1
2.695  33.2  27  0 0 2
2.574  34.9  48  2 0 0
2.388  37.7  30  1 0 2
2.302  39.1  27  2 1 0
1.862  48.9  37  2 0 2
1.820  50.1  17  2 2 0
1.751  52.3  24  2 1 2
1.508  61.5  18  2 2 2

Cell and atoms:
```
data_TaBiMo2O
_chemical_formula_sum 'Ta1 Bi1 Mo2 O1'
_cell_length_a 5.1484
_cell_length_b 5.1484
_cell_length_c 5.3909
_cell_angle_alpha 90.00
_cell_angle_beta 90.00
_cell_angle_gamma 90.00
_space_group_name_H-M_alt 'P 4/m m m'
_space_group_IT_number 123
_space_group_name_Hall '-P 4 2'
loop_
_atom_site_label
_atom_site_type_symbol
_atom_site_fract_x
_atom_site_fract_y
_atom_site_fract_z
Ta1 Ta 0.0000 0.0000 0.0000
Bi1 Bi 0.0000 0.0000 0.5000
Mo1 Mo 0.0000 0.5000 0.0000
O1 O 0.5000 0.5000 0.5000
```